Simulated powder X-ray diffraction pattern
Compound: LiMg2Ni
Radiation: Cu Kα (λ = 1.5418 Å)
Structure: a PBE-relaxed structure
Kinematic intensities with the Lorentz-polarization factor, no thermal factor.

Cell: 6.3361 6.3361 6.3361 Å, 90.00 90.00 90.00°
Atoms (fractional coordinates):
Li 0.0000 0.0000 0.0000
Li 0.0000 0.5000 0.5000
Li 0.5000 0.0000 0.5000
Li 0.5000 0.5000 0.0000
Mg 0.2500 0.2500 0.2500
Mg 0.2500 0.2500 0.7500
Mg 0.2500 0.7500 0.2500
Mg 0.2500 0.7500 0.7500
Mg 0.7500 0.2500 0.2500
Mg 0.7500 0.2500 0.7500
Mg 0.7500 0.7500 0.2500
Mg 0.7500 0.7500 0.7500
Ni 0.0000 0.0000 0.5000
Ni 0.0000 0.5000 0.0000
Ni 0.5000 0.0000 0.0000
Ni 0.5000 0.5000 0.5000

Main lines, sorted by position (10 to 90 degrees two-theta):
- d 3.658, 24.33°, rel. 63
- d 3.168, 28.17°, rel. 3
- d 2.240, 40.26°, rel. 100
- d 1.910, 47.60°, rel. 29
- d 1.584, 58.25°, rel. 16
- d 1.454, 64.06°, rel. 11
- d 1.417, 65.93°, rel. 1
- d 1.293, 73.18°, rel. 31
- d 1.219, 78.43°, rel. 8
- d 1.120, 86.99°, rel. 9